Record 1
For K2InPb, a DFT-relaxed cell (PBE, Alexandria) gives the simulated powder XRD pattern in this record (copper Kα).
No peak broadening, texture or thermal motion is included.

Top 10 peaks for 2θ = 10–80°, in order of falling intensity:
29.60 deg, d = 3.018 Å, I 100.0; 15.37 deg, d = 5.764 Å, I 38.9; 25.14 deg, d = 3.542 Å, I 25.6; 61.45 deg, d = 1.509 Å, I 24.1; 31.03 deg, d = 2.882 Å, I 22.1; 54.32 deg, d = 1.689 Å, I 17.6; 40.35 deg, d = 2.235 Å, I 15.8; 35.23 deg, d = 2.547 Å, I 15.7; 36.47 deg, d = 2.464 Å, I 14.3; 47.65 deg, d = 1.909 Å, I 13.1

Crystal structure
abc: 3.544 3.544 11.527
angles: 90.00 90.00 91.90
Atoms (fractional coordinates):
K (0.000, 0.000, 0.247)
K (0.000, 0.000, 0.753)
In (0.500, 0.500, 0.500)
Pb (0.500, 0.500, 0.000)

---

Record 2
For Al5Ru3, a DFT-relaxed cell (PBE, Alexandria) gives the simulated powder XRD pattern in this record (copper Kα).
No peak broadening, texture or thermal motion is included.

Top 10 peaks for 2θ = 10–80°, in order of falling intensity:
27.31 deg, d = 3.265 Å, I 100.0; 42.45 deg, d = 2.129 Å, I 94.9; 40.95 deg, d = 2.204 Å, I 90.7; 29.05 deg, d = 3.074 Å, I 80.0; 41.54 deg, d = 2.174 Å, I 56.0; 25.92 deg, d = 3.437 Å, I 37.9; 54.56 deg, d = 1.682 Å, I 33.9; 42.55 deg, d = 2.125 Å, I 30.8; 12.88 deg, d = 6.874 Å, I 20.1; 54.04 deg, d = 1.697 Å, I 19.4

Crystal structure
abc: 7.313 7.313 7.290
angles: 96.52 96.52 140.48
Atoms (fractional coordinates):
Al (0.099, 0.099, 0.197)
Al (0.241, 0.561, 0.802)
Al (0.400, 0.257, 0.659)
Al (0.420, 0.080, 0.000)
Al (0.439, 0.759, 0.198)
Al (0.597, 0.060, 0.659)
Al (0.743, 0.600, 0.341)
Al (0.901, 0.901, 0.803)
Al (0.920, 0.580, 0.000)
Al (0.940, 0.403, 0.341)
Ru (0.342, 0.002, 0.346)
Ru (0.421, 0.579, 0.500)
Ru (0.497, 0.503, 0.000)
Ru (0.843, 0.157, 0.000)
Ru (0.919, 0.081, 0.500)
Ru (0.998, 0.658, 0.654)